Entry 1:
For YTm3Sn, a crystal structure in Alexandria, relaxed with PBE gives the theoretical powder X-ray diffraction pattern in this record (Cu Kα (weighted mean of Kα1 and Kα2)).

Most intense lines, 15° ≤ 2θ ≤ 90°, in order of rising 2θ:
2θ = 28.1°, rel. 26, (4 0 0)
2θ = 29.2°, rel. 35, (0 4 1)
2θ = 29.8°, rel. 40, (3 3 -1)
2θ = 30.4°, rel. 73, (3 1 -2)
2θ = 31.3°, rel. 100, (2 0 2)
2θ = 33.6°, rel. 87, (2 4 1)
2θ = 36.0°, rel. 23, (5 1 0)
2θ = 42.7°, rel. 57, (1 3 -3)

```
data_YTm3Sn
_symmetry_space_group_name_H-M 'C 1 2/c 1'
_symmetry_Int_Tables_number 15
_symmetry_space_group_name_Hall '-C 2yc'
_cell_length_a 12.9512
_cell_length_b 13.5942
_cell_length_c 7.1928
_cell_angle_alpha 90.00
_cell_angle_beta 101.30
_cell_angle_gamma 90.00
loop_
_atom_site_label
_atom_site_type_symbol
_atom_site_fract_x
_atom_site_fract_y
_atom_site_fract_z
Y1 Y 0.1064 0.1850 0.1396
Tm1 Tm 0.1155 0.0690 0.6268
Tm2 Tm 0.1613 0.3290 0.5391
Tm3 Tm 0.1606 0.4228 0.9845
Sn1 Sn 0.0000 0.2596 0.7500
Sn2 Sn 0.0000 0.4286 0.2500
```

Entry 2:
For YTm2Sn2, a crystal structure in Alexandria, relaxed with PBE gives the theoretical powder X-ray diffraction pattern in this record (Cu Kα (weighted mean of Kα1 and Kα2)).

Most intense lines, 15° ≤ 2θ ≤ 90°, in order of rising 2θ:
2θ = 27.7°, rel. 20, (0 0 2)
2θ = 29.5°, rel. 26, (0 2 2)
2θ = 30.8°, rel. 100, (1 5 0)
2θ = 33.7°, rel. 26, (1 1 2)
2θ = 36.6°, rel. 54, (1 3 2)
2θ = 36.9°, rel. 37, (2 0 0)
2θ = 41.9°, rel. 18, (1 5 2)
2θ = 66.4°, rel. 22, (1 5 4)

```
data_YTm2Sn2
_symmetry_space_group_name_H-M 'C m c 21'
_symmetry_Int_Tables_number 36
_symmetry_space_group_name_Hall 'C 2c -2'
_cell_length_a 4.8750
_cell_length_b 18.0816
_cell_length_c 6.4355
_cell_angle_alpha 90.00
_cell_angle_beta 90.00
_cell_angle_gamma 90.00
loop_
_atom_site_label
_atom_site_type_symbol
_atom_site_fract_x
_atom_site_fract_y
_atom_site_fract_z
Y1 Y 0.0000 0.1085 0.0000
Tm1 Tm 0.0000 0.3135 0.9929
Tm2 Tm 0.0000 0.4988 0.2484
Sn1 Sn 0.0000 0.0732 0.4983
Sn2 Sn 0.0000 0.2974 0.4916
```

Entry 3:
For TmZrSn, a crystal structure in Alexandria, relaxed with PBE gives the theoretical powder X-ray diffraction pattern in this record (Cu Kα (weighted mean of Kα1 and Kα2)).

Most intense lines, 15° ≤ 2θ ≤ 90°, in order of rising 2θ:
2θ = 29.4°, rel. 48, (1 1 0)
2θ = 31.4°, rel. 91, (1 1 2)
2θ = 32.6°, rel. 44, (0 0 6)
2θ = 34.3°, rel. 47, (1 0 5)
2θ = 36.7°, rel. 100, (1 1 4)
2θ = 42.0°, rel. 70, (2 0 0)
2θ = 54.2°, rel. 42, (2 0 6)
2θ = 73.3°, rel. 27, (3 1 4)

```
data_TmZrSn
_symmetry_space_group_name_H-M 'I 4/m m m'
_symmetry_Int_Tables_number 139
_symmetry_space_group_name_Hall '-I 4 2'
_cell_length_a 4.3012
_cell_length_b 4.3012
_cell_length_c 16.4636
_cell_angle_alpha 90.00
_cell_angle_beta 90.00
_cell_angle_gamma 90.00
loop_
_atom_site_label
_atom_site_type_symbol
_atom_site_fract_x
_atom_site_fract_y
_atom_site_fract_z
Tm1 Tm 0.0000 0.0000 0.1737
Zr1 Zr 0.0000 0.5000 0.0000
Sn1 Sn 0.0000 0.0000 0.3644
```

Entry 4:
For TmZr12Sn6, a crystal structure in Alexandria, relaxed with PBE gives the theoretical powder X-ray diffraction pattern in this record (Cu Kα (weighted mean of Kα1 and Kα2)).

Most intense lines, 15° ≤ 2θ ≤ 90°, in order of rising 2θ:
2θ = 34.0°, rel. 37, (0 0 3)
2θ = 34.4°, rel. 100, (5 -2 1)
2θ = 39.8°, rel. 67, (2 3 2)
2θ = 57.3°, rel. 22, (5 -2 4)
2θ = 57.9°, rel. 18, (7 1 0)
2θ = 68.3°, rel. 14, (2 3 5)
2θ = 68.8°, rel. 21, (7 1 3)
2θ = 69.1°, rel. 10, (4 6 1)

```
data_TmZr12Sn6
_symmetry_space_group_name_H-M 'R -3'
_symmetry_Int_Tables_number 148
_symmetry_space_group_name_Hall '-R 3'
_cell_length_a 13.8907
_cell_length_b 13.8907
_cell_length_c 7.9121
_cell_angle_alpha 90.00
_cell_angle_beta 90.00
_cell_angle_gamma 120.00
loop_
_atom_site_label
_atom_site_type_symbol
_atom_site_fract_x
_atom_site_fract_y
_atom_site_fract_z
Tm1 Tm 0.0000 0.0000 0.0000
Zr1 Zr 0.0056 0.8696 0.6622
Zr2 Zr 0.0577 0.4874 0.6739
Sn1 Sn 0.0231 0.7580 0.3349
```

Entry 5:
For U3Sn, a crystal structure in Alexandria, relaxed with PBE gives the theoretical powder X-ray diffraction pattern in this record (Cu Kα (weighted mean of Kα1 and Kα2)).

Most intense lines, 15° ≤ 2θ ≤ 90°, in order of rising 2θ:
2θ = 35.0°, rel. 100, (1 1 2)
2θ = 40.3°, rel. 34, (2 0 0)
2θ = 41.2°, rel. 16, (0 0 4)
2θ = 58.4°, rel. 12, (2 2 0)
2θ = 59.0°, rel. 23, (2 0 4)
2θ = 69.9°, rel. 29, (3 1 2)
2θ = 71.1°, rel. 14, (1 1 6)
2θ = 73.9°, rel. 12, (2 2 4)

```
data_U3Sn
_symmetry_space_group_name_H-M 'I 4/m m m'
_symmetry_Int_Tables_number 139
_symmetry_space_group_name_Hall '-I 4 2'
_cell_length_a 4.4727
_cell_length_b 4.4727
_cell_length_c 8.7678
_cell_angle_alpha 90.00
_cell_angle_beta 90.00
_cell_angle_gamma 90.00
loop_
_atom_site_label
_atom_site_type_symbol
_atom_site_fract_x
_atom_site_fract_y
_atom_site_fract_z
U1 U 0.0000 0.0000 0.0000
U2 U 0.0000 0.5000 0.2500
Sn1 Sn 0.0000 0.0000 0.5000
```

Entry 6:
For YUSn, a crystal structure in Alexandria, relaxed with PBE gives the theoretical powder X-ray diffraction pattern in this record (Cu Kα (weighted mean of Kα1 and Kα2)).

Most intense lines, 15° ≤ 2θ ≤ 90°, in order of rising 2θ:
2θ = 27.0°, rel. 83, (1 0 1)
2θ = 29.4°, rel. 100, (0 0 6)
2θ = 30.4°, rel. 39, (1 0 3)
2θ = 31.4°, rel. 39, (1 1 0)
2θ = 34.8°, rel. 73, (0 2 2)
2θ = 38.9°, rel. 63, (0 2 4)
2θ = 45.7°, rel. 44, (1 2 3)
2θ = 50.1°, rel. 32, (1 2 5)

```
data_YUSn
_symmetry_space_group_name_H-M 'I m m m'
_symmetry_Int_Tables_number 71
_symmetry_space_group_name_Hall '-I 2 2'
_cell_length_a 3.3598
_cell_length_b 5.3758
_cell_length_c 18.2316
_cell_angle_alpha 90.00
_cell_angle_beta 90.00
_cell_angle_gamma 90.00
loop_
_atom_site_label
_atom_site_type_symbol
_atom_site_fract_x
_atom_site_fract_y
_atom_site_fract_z
Y1 Y 0.0000 0.0000 0.1703
U1 U 0.0000 0.2541 0.5000
Sn1 Sn 0.0000 0.0000 0.3429
```

Entry 7:
For VSn4, a crystal structure in Alexandria, relaxed with PBE gives the theoretical powder X-ray diffraction pattern in this record (Cu Kα (weighted mean of Kα1 and Kα2)).

Most intense lines, 15° ≤ 2θ ≤ 90°, in order of rising 2θ:
2θ = 29.3°, rel. 84, (2 0 0)
2θ = 34.4°, rel. 100, (1 1 2)
2θ = 35.6°, rel. 69, (2 1 1)
2θ = 40.4°, rel. 50, (2 0 2)
2θ = 41.9°, rel. 41, (2 2 0)
2θ = 55.2°, rel. 35, (3 1 2)
2θ = 60.5°, rel. 32, (1 1 4)
2θ = 64.6°, rel. 35, (4 1 1)

```
data_VSn4
_symmetry_space_group_name_H-M 'I -4 2 m'
_symmetry_Int_Tables_number 121
_symmetry_space_group_name_Hall 'I -4 2'
_cell_length_a 6.1025
_cell_length_b 6.1025
_cell_length_c 6.5502
_cell_angle_alpha 90.00
_cell_angle_beta 90.00
_cell_angle_gamma 90.00
loop_
_atom_site_label
_atom_site_type_symbol
_atom_site_fract_x
_atom_site_fract_y
_atom_site_fract_z
V1 V 0.0000 0.0000 0.0000
Sn1 Sn 0.2110 0.2110 0.3215
```

Entry 8:
For VSn2, a crystal structure in Alexandria, relaxed with PBE gives the theoretical powder X-ray diffraction pattern in this record (Cu Kα (weighted mean of Kα1 and Kα2)).

Most intense lines, 15° ≤ 2θ ≤ 90°, in order of rising 2θ:
2θ = 30.3°, rel. 62, (1 1 5)
2θ = 33.1°, rel. 100, (1 3 1)
2θ = 33.8°, rel. 83, (2 0 2)
2θ = 34.3°, rel. 77, (0 2 6)
2θ = 35.8°, rel. 55, (1 3 3)
2θ = 38.5°, rel. 76, (1 1 7)
2θ = 42.5°, rel. 81, (2 2 4)
2θ = 42.8°, rel. 41, (0 4 4)

```
data_VSn2
_symmetry_space_group_name_H-M 'F d d d'
_symmetry_Int_Tables_number 70
_cell_length_a 5.5199
_cell_length_b 9.4537
_cell_length_c 18.8105
_cell_angle_alpha 90.00
_cell_angle_beta 90.00
_cell_angle_gamma 90.00
loop_
_symmetry_equiv_pos_as_xyz
'x,y,z'
'-x,-y,-z'
'-x+1/4,-y+1/4,z'
'x+1/4,y+1/4,-z'
'x,-y+1/4,-z+1/4'
'-x,y+1/4,z+1/4'
'-x+1/4,y,-z+1/4'
'x+1/4,-y,z+1/4'
'x,y+1/2,z+1/2'
'-x,-y+1/2,-z+1/2'
'-x+1/4,-y+3/4,z+1/2'
'x+1/4,y+3/4,-z+1/2'
'x,-y+3/4,-z+3/4'
'-x,y+3/4,z+3/4'
'-x+1/4,y+1/2,-z+3/4'
'x+1/4,-y+1/2,z+3/4'
'x+1/2,y,z+1/2'
'-x+1/2,-y,-z+1/2'
'-x+3/4,-y+1/4,z+1/2'
'x+3/4,y+1/4,-z+1/2'
'x+1/2,-y+1/4,-z+3/4'
'-x+1/2,y+1/4,z+3/4'
'-x+3/4,y,-z+3/4'
'x+3/4,-y,z+3/4'
'x+1/2,y+1/2,z'
'-x+1/2,-y+1/2,-z'
'-x+3/4,-y+3/4,z'
'x+3/4,y+3/4,-z'
'x+1/2,-y+3/4,-z+1/4'
'-x+1/2,y+3/4,z+1/4'
'-x+3/4,y+1/2,-z+1/4'
'x+3/4,-y+1/2,z+1/4'
loop_
_atom_site_label
_atom_site_type_symbol
_atom_site_fract_x
_atom_site_fract_y
_atom_site_fract_z
V1 V 0.1250 0.1250 0.2527
Sn1 Sn 0.1250 0.1250 0.5411
Sn2 Sn 0.1250 0.2913 0.1250
```

Which formula does entry 2 have?
YTm2Sn2